For ZrSbMoO6, the PBE+U geometry in Alexandria gives the calculated powder X-ray diffraction pattern in this record (Cu Kα X-rays).
Kinematic intensities with the Lorentz-polarization factor, no thermal factor.

Structure:
```
data_ZrSbMoO6
_chemical_formula_sum 'Zr2 Sb2 Mo2 O12'
_cell_length_a 5.3913
_cell_length_b 5.3913
_cell_length_c 9.1102
_cell_angle_alpha 90.00
_cell_angle_beta 90.00
_cell_angle_gamma 120.00
_space_group_name_H-M_alt 'P -3 1 c'
_space_group_IT_number 163
_space_group_name_Hall '-P 3 2c'
loop_
_atom_site_label
_atom_site_fract_x
_atom_site_fract_y
_atom_site_fract_z
_atom_site_occupancy
Zr1 0.3333 0.6667 0.2500 1
Sb1 0.3333 0.6667 0.7500 1
Mo1 0.0000 0.0000 0.0000 1
O1 0.0152 0.3525 0.6313 1
```

Peak list (10 most intense, 2θ from 10° to 80°, sorted by position)
hkl	Position (°2θ)	d_spacing	Rel. int.
0 0 2	19.49	4.555	14
1 0 2	27.35	3.260	100
1 1 0	33.24	2.696	48
1 1 2	38.82	2.320	18
2 0 2	43.56	2.078	27
1 1 4	52.61	1.740	47
2 1 2	55.87	1.646	26
3 0 0	59.38	1.556	19
1 0 6	64.54	1.444	8
4 -1 2	76.47	1.246	10